This entry pairs a crystal structure of Ba2Tl7Pd with its calculated powder X-ray diffraction pattern. Radiation: Cu Kα (λ = 1.5418 Å). Structure: a PBE-relaxed structure.
No peak broadening, texture or thermal motion is included.

Cell and atoms:
Lattice parameters (Å, degrees): 5.147 5.147 12.355 90.00 90.00 90.00
Space group P-4m2 (No. 115)
Symmetry-distinct sites (fractional):
Ba 0.000 0.500 0.231 x2
Tl 0.000 0.000 0.000 x1
Tl 0.000 0.000 0.500 x1
Tl 0.000 0.500 0.645 x2
Tl 0.000 0.500 0.886 x2
Tl 0.500 0.500 0.500 x1
Pd 0.500 0.500 0.000 x1

Peak list (10 most intense, 10° ≤ 2θ ≤ 80°, in order of falling intensity)
Position (°2θ)	d [Å]	I/Imax	index
28.46	3.136	100	1 1 2
34.86	2.573	91	2 0 0
38.22	2.355	66	1 1 4
27.74	3.216	59	1 0 3
50.13	1.820	33	2 2 0
45.12	2.009	32	2 1 3
64.74	1.440	29	3 1 4
18.68	4.751	28	1 0 1
58.66	1.574	27	3 1 2
40.49	2.228	24	1 0 5